[1]
For Mg2TlAu, a PBE-relaxed structure gives the computed PXRD pattern in this record (Cu Kα X-rays).
No peak broadening, texture or thermal motion is included.

Structural model:
```
data_Mg2TlAu
_chemical_formula_sum 'Mg2 Tl1 Au1'
_cell_length_a 5.3838
_cell_length_b 5.3838
_cell_length_c 4.7930
_cell_angle_alpha 104.18
_cell_angle_beta 104.18
_cell_angle_gamma 39.69
_symmetry_space_group_name_H-M 'P 1'
_symmetry_Int_Tables_number 1
_symmetry_space_group_name_Hall 'P 1'
loop_
_atom_site_label
_atom_site_type_symbol
_atom_site_fract_x
_atom_site_fract_y
_atom_site_fract_z
Mg1 Mg 0.0000 0.0000 0.0000
Mg2 Mg 0.2294 0.2294 0.6719
Tl1 Tl 0.4738 0.4738 0.4715
Au1 Au 0.7264 0.7264 0.1274
```

Peak list (10 most intense, 2θ = 15–90°, by angle)
2θ (°), d [Å], I_rel
19.18, 4.628, 28
22.76, 3.907, 72
26.02, 3.424, 61
29.84, 2.994, 35
33.96, 2.640, 100
36.77, 2.444, 48
36.95, 2.433, 30
38.31, 2.350, 73
38.47, 2.340, 27
45.26, 2.004, 30

=====

[2]
For TmMgAu6, a PBE-relaxed structure gives the computed PXRD pattern in this record (Cu Kα X-rays).
No peak broadening, texture or thermal motion is included.

Structural model:
```
data_TmMgAu6
_chemical_formula_sum 'Tm1 Mg1 Au6'
_cell_length_a 5.1509
_cell_length_b 5.1509
_cell_length_c 8.5412
_cell_angle_alpha 114.44
_cell_angle_beta 114.44
_cell_angle_gamma 48.07
_symmetry_space_group_name_H-M 'P 1'
_symmetry_Int_Tables_number 1
_symmetry_space_group_name_Hall 'P 1'
loop_
_atom_site_label
_atom_site_type_symbol
_atom_site_fract_x
_atom_site_fract_y
_atom_site_fract_z
Tm1 Tm 0.0000 0.0000 0.0000
Mg1 Mg 0.0000 0.0000 0.5000
Au1 Au 0.2477 0.2477 0.8699
Au2 Au 0.2513 0.2513 0.3788
Au3 Au 0.4993 0.4993 0.7438
Au4 Au 0.5007 0.5007 0.2562
Au5 Au 0.7487 0.7487 0.6212
Au6 Au 0.7523 0.7523 0.1301
```

Peak list (10 most intense, 2θ = 15–90°, by angle)
2θ (°), d [Å], I_rel
23.37, 3.806, 3
23.71, 3.753, 3
36.90, 2.436, 100
42.33, 2.135, 17
43.13, 2.097, 33
62.02, 1.496, 22
62.64, 1.483, 11
73.84, 1.283, 13
74.97, 1.267, 26
78.53, 1.218, 12

=====

[3]
For Tm2MgAu6, a PBE-relaxed structure gives the computed PXRD pattern in this record (Cu Kα X-rays).
No peak broadening, texture or thermal motion is included.

Structural model:
```
data_Tm2MgAu6
_chemical_formula_sum 'Tm2 Mg1 Au6'
_cell_length_a 8.2115
_cell_length_b 8.2115
_cell_length_c 5.1652
_cell_angle_alpha 99.02
_cell_angle_beta 99.02
_cell_angle_gamma 143.38
_symmetry_space_group_name_H-M 'P 1'
_symmetry_Int_Tables_number 1
_symmetry_space_group_name_Hall 'P 1'
loop_
_atom_site_label
_atom_site_type_symbol
_atom_site_fract_x
_atom_site_fract_y
_atom_site_fract_z
Tm1 Tm 0.1634 0.8366 0.0000
Tm2 Tm 0.8366 0.1634 0.0000
Mg1 Mg 0.5000 0.5000 0.5000
Au1 Au 0.1554 0.1554 0.8250
Au2 Au 0.1713 0.5040 0.6686
Au3 Au 0.4960 0.8287 0.3314
Au4 Au 0.5040 0.1713 0.6686
Au5 Au 0.8287 0.4960 0.3314
Au6 Au 0.8446 0.8446 0.1750
```

Peak list (10 most intense, 2θ = 15–90°, by angle)
2θ (°), d [Å], I_rel
34.51, 2.599, 57
35.22, 2.548, 45
36.70, 2.449, 38
38.94, 2.313, 100
42.00, 2.151, 30
45.61, 1.989, 20
54.39, 1.687, 15
64.80, 1.439, 23
65.13, 1.432, 22
83.62, 1.156, 19

=====

[4]
For Mg4UAu5, a PBE-relaxed structure gives the computed PXRD pattern in this record (Cu Kα X-rays).
No peak broadening, texture or thermal motion is included.

Structural model:
```
data_Mg4UAu5
_chemical_formula_sum 'Mg4 U1 Au5'
_cell_length_a 3.2839
_cell_length_b 3.2839
_cell_length_c 17.5467
_cell_angle_alpha 90.00
_cell_angle_beta 90.00
_cell_angle_gamma 90.00
_symmetry_space_group_name_H-M 'P 1'
_symmetry_Int_Tables_number 1
_symmetry_space_group_name_Hall 'P 1'
loop_
_atom_site_label
_atom_site_type_symbol
_atom_site_fract_x
_atom_site_fract_y
_atom_site_fract_z
Mg1 Mg 0.0000 0.0000 0.0948
Mg2 Mg 0.0000 0.0000 0.2843
Mg3 Mg 0.0000 0.0000 0.7157
Mg4 Mg 0.0000 0.0000 0.9052
U1 U 0.0000 0.0000 0.5000
Au1 Au 0.5000 0.5000 0.0000
Au2 Au 0.5000 0.5000 0.1893
Au3 Au 0.5000 0.5000 0.3797
Au4 Au 0.5000 0.5000 0.6203
Au5 Au 0.5000 0.5000 0.8107
```

Peak list (10 most intense, 2θ = 15–90°, by angle)
2θ (°), d [Å], I_rel
25.38, 3.509, 15
27.15, 3.284, 34
34.11, 2.629, 14
37.51, 2.398, 100
38.78, 2.322, 54
46.92, 1.937, 12
56.01, 1.642, 19
65.00, 1.435, 10
66.83, 1.400, 11
69.37, 1.355, 34

=====

[5]
For MgVAu, a PBE-relaxed structure gives the computed PXRD pattern in this record (Cu Kα X-rays).
No peak broadening, texture or thermal motion is included.

Structural model:
```
data_MgVAu
_chemical_formula_sum 'Mg2 V2 Au2'
_cell_length_a 3.2036
_cell_length_b 3.2036
_cell_length_c 9.7770
_cell_angle_alpha 90.00
_cell_angle_beta 90.00
_cell_angle_gamma 90.00
_symmetry_space_group_name_H-M 'P 1'
_symmetry_Int_Tables_number 1
_symmetry_space_group_name_Hall 'P 1'
loop_
_atom_site_label
_atom_site_type_symbol
_atom_site_fract_x
_atom_site_fract_y
_atom_site_fract_z
Mg1 Mg 0.0000 0.0000 0.0000
Mg2 Mg 0.0000 0.0000 0.3472
V1 V 0.0000 0.0000 0.7028
V2 V 0.5000 0.5000 0.8102
Au1 Au 0.5000 0.5000 0.1675
Au2 Au 0.5000 0.5000 0.5208
```

Peak list (10 most intense, 2θ = 15–90°, by angle)
2θ (°), d [Å], I_rel
18.15, 4.889, 22
27.37, 3.259, 27
27.85, 3.204, 53
29.34, 3.044, 17
33.44, 2.679, 23
39.44, 2.285, 100
39.79, 2.265, 53
48.97, 1.860, 23
57.54, 1.602, 18
72.00, 1.312, 34

=====

[6]
For Mg4ZnAu, a PBE-relaxed structure gives the computed PXRD pattern in this record (Cu Kα X-rays).
No peak broadening, texture or thermal motion is included.

Structural model:
```
data_Mg4ZnAu
_chemical_formula_sum 'Mg4 Zn1 Au1'
_cell_length_a 5.4387
_cell_length_b 5.4387
_cell_length_c 5.4387
_cell_angle_alpha 104.42
_cell_angle_beta 104.42
_cell_angle_gamma 120.13
_symmetry_space_group_name_H-M 'P 1'
_symmetry_Int_Tables_number 1
_symmetry_space_group_name_Hall 'P 1'
loop_
_atom_site_label
_atom_site_type_symbol
_atom_site_fract_x
_atom_site_fract_y
_atom_site_fract_z
Mg1 Mg 0.0853 0.5853 0.1706
Mg2 Mg 0.4147 0.9147 0.8294
Mg3 Mg 0.5853 0.4147 0.5000
Mg4 Mg 0.9147 0.0853 0.5000
Zn1 Zn 0.0000 0.0000 0.0000
Au1 Au 0.5000 0.5000 0.0000
```

Peak list (10 most intense, 2θ = 15–90°, by angle)
2θ (°), d [Å], I_rel
18.83, 4.713, 100
21.11, 4.209, 41
26.75, 3.333, 36
34.32, 2.613, 35
38.24, 2.353, 77
42.94, 2.106, 87
51.35, 1.779, 15
55.16, 1.665, 24
72.31, 1.307, 16
81.77, 1.178, 14